# 1
This entry pairs a crystal structure of Eu2MgTi2Cl2O6 with its calculated PXRD pattern. Radiation: Cu Kα (weighted mean of Kα1 and Kα2). Structure: a crystal structure in the Materials Project, relaxed with GGA-PBE.
Lines closer than 0.1° are merged.

Principal peaks in the range 2θ from 10° to 90°, by angle:
5.849 Å, 15.1 deg, rel. 59, hkl 2 0 0
4.551 Å, 19.5 deg, rel. 35, hkl 0 0 2
3.353 Å, 26.6 deg, rel. 100, hkl 1 1 -1
3.239 Å, 27.5 deg, rel. 76, hkl 2 0 2
2.687 Å, 33.3 deg, rel. 79, hkl 3 1 -1
2.461 Å, 36.5 deg, rel. 49, hkl 3 1 1
2.380 Å, 37.8 deg, rel. 51, hkl 1 1 -3
2.314 Å, 38.9 deg, rel. 40, hkl 2 0 -4

Atomic structure:
Cell: 12.0396 3.6762 9.3680 Å, 90.00 103.70 90.00°
Space group C2/m (No. 12)
One atom of each set of equivalent atoms:
Eu  0.2373  0.0000  0.2351 [4 per cell]
Mg  0.0000  0.5000  0.0000 [2 per cell]
Ti  0.0799  0.5000  0.4049 [4 per cell]
Cl  0.1222  0.0000  0.9225 [4 per cell]
O  0.0730  0.5000  0.6235 [4 per cell]
O  0.1086  0.5000  0.2056 [4 per cell]
O  0.1424  0.0000  0.4323 [4 per cell]


# 2
This entry pairs a crystal structure of Na2EuCl5 with its calculated PXRD pattern. Radiation: Cu Kα (weighted mean of Kα1 and Kα2). Structure: a crystal structure in the Materials Project, relaxed with GGA-PBE.
Lines closer than 0.1° are merged.

Principal peaks in the range 2θ from 10° to 90°, by angle:
6.669 Å, 13.3 deg, rel. 100, hkl 1 0 1
6.194 Å, 14.3 deg, rel. 53, hkl 2 0 0
4.283 Å, 20.7 deg, rel. 29, hkl 0 2 0
3.604 Å, 24.7 deg, rel. 38, hkl 1 2 1
2.631 Å, 34.1 deg, rel. 45, hkl 2 2 2
2.510 Å, 35.8 deg, rel. 42, hkl 4 2 0
2.335 Å, 38.6 deg, rel. 42, hkl 2 1 3
1.849 Å, 49.3 deg, rel. 27, hkl 2 3 3

Atomic structure:
Cell: 12.3876 8.5654 7.9141 Å, 90.00 90.00 90.00°
Space group Pnma (No. 62)
One atom of each set of equivalent atoms:
Na  0.1725  0.0015  0.0339 [8 per cell]
Eu  0.0065  0.2500  0.5794 [4 per cell]
Cl  0.0061  0.2500  0.9448 [4 per cell]
Cl  0.0886  0.5457  0.6662 [8 per cell]
Cl  0.1835  0.2500  0.3588 [4 per cell]
Cl  0.2135  0.7500  0.3201 [4 per cell]